Calculated XRD peak list
Compound: U2AsSe
Radiation: copper Kα
Structure: DFT lattice parameters and positions (GGA-PBE)

Structure:
a b c (Å): 5.784 5.784 11.510
angles (deg): 90.00 90.00 90.00
Atoms (fractional coordinates):
U  0.000  0.250  0.124
U  0.000  0.250  0.626
U  0.000  0.750  0.374
U  0.000  0.750  0.876
U  0.500  0.250  0.376
U  0.500  0.250  0.874
U  0.500  0.750  0.126
U  0.500  0.750  0.624
As  0.000  0.250  0.875
As  0.000  0.750  0.125
As  0.500  0.250  0.625
As  0.500  0.750  0.375
Se  0.000  0.250  0.375
Se  0.000  0.750  0.625
Se  0.500  0.250  0.125
Se  0.500  0.750  0.875

Most intense lines, 2θ from 15° to 90°, sorted by position:
- 26.74°, I = 66
- 30.92°, I = 100
- 31.08°, I = 49
- 44.30°, I = 38
- 44.41°, I = 75
- 52.50°, I = 23
- 55.10°, I = 40
- 64.44°, I = 13
- 73.22°, I = 36
- 73.52°, I = 18
- 81.62°, I = 27
- 81.87°, I = 14

=====

Calculated XRD peak list
Compound: U2AsSe
Radiation: copper Kα
Structure: DFT lattice parameters and positions (GGA-PBE)

Structure:
a b c (Å): 4.077 4.077 5.752
angles (deg): 90.00 90.00 90.00
Atoms (fractional coordinates):
U  0.000  0.000  0.000
U  0.500  0.500  0.500
As  0.000  0.000  0.500
Se  0.500  0.500  0.000

Most intense lines, 2θ from 15° to 90°, sorted by position:
- 26.81°, I = 44
- 31.05°, I = 100
- 44.48°, I = 75
- 52.70°, I = 23
- 55.24°, I = 27
- 64.67°, I = 8
- 71.37°, I = 10
- 73.48°, I = 24
- 73.62°, I = 12
- 81.89°, I = 18
- 82.01°, I = 9
- 88.06°, I = 6

=====

Calculated XRD peak list
Compound: U5As3Se2
Radiation: copper Kα
Structure: DFT lattice parameters and positions (GGA-PBE)

Structure:
a b c (Å): 8.620 8.620 8.620
angles (deg): 99.58 99.58 131.85
Atoms (fractional coordinates):
U  0.050  0.149  0.701
U  0.149  0.448  0.100
U  0.250  0.750  0.500
U  0.348  0.050  0.900
U  0.448  0.348  0.299
U  0.552  0.652  0.701
U  0.652  0.950  0.100
U  0.750  0.250  0.500
U  0.851  0.552  0.900
U  0.950  0.851  0.299
As  0.000  0.000  0.000
As  0.100  0.300  0.400
As  0.300  0.900  0.200
As  0.500  0.500  0.000
As  0.700  0.100  0.800
As  0.900  0.700  0.600
Se  0.200  0.600  0.800
Se  0.400  0.200  0.600
Se  0.600  0.800  0.400
Se  0.800  0.400  0.200

Most intense lines, 2θ from 15° to 90°, sorted by position:
- 25.31°, I = 28
- 36.10°, I = 100
- 44.61°, I = 9
- 51.98°, I = 18
- 58.67°, I = 13
- 64.92°, I = 37
- 76.59°, I = 12
- 82.19°, I = 7
- 87.72°, I = 18

=====

Calculated XRD peak list
Compound: UAsSe
Radiation: copper Kα
Structure: DFT lattice parameters and positions (GGA-PBE)

Structure:
a b c (Å): 3.976 3.976 8.408
angles (deg): 90.00 90.00 90.00
Atoms (fractional coordinates):
U  0.250  0.250  0.227
U  0.750  0.750  0.773
As  0.250  0.750  0.500
As  0.750  0.250  0.500
Se  0.250  0.250  0.865
Se  0.750  0.750  0.135

Most intense lines, 2θ from 15° to 90°, sorted by position:
- 21.13°, I = 26
- 24.77°, I = 89
- 31.83°, I = 47
- 31.93°, I = 25
- 33.61°, I = 41
- 38.52°, I = 100
- 39.33°, I = 65
- 45.63°, I = 54
- 52.60°, I = 25
- 56.77°, I = 19
- 61.78°, I = 35
- 79.57°, I = 26

=====

Calculated XRD peak list
Compound: Y4AsSe3
Radiation: copper Kα
Structure: DFT lattice parameters and positions (GGA-PBE)

Structure:
a b c (Å): 5.793 5.793 11.605
angles (deg): 90.00 90.00 90.00
Atoms (fractional coordinates):
Y  0.000  0.000  0.243
Y  0.000  0.000  0.757
Y  0.000  0.500  0.000
Y  0.000  0.500  0.500
Y  0.500  0.000  0.000
Y  0.500  0.000  0.500
Y  0.500  0.500  0.257
Y  0.500  0.500  0.743
As  0.000  0.000  0.000
As  0.500  0.500  0.500
Se  0.000  0.000  0.500
Se  0.000  0.500  0.250
Se  0.000  0.500  0.750
Se  0.500  0.000  0.250
Se  0.500  0.000  0.750
Se  0.500  0.500  0.000

Most intense lines, 2θ from 15° to 90°, sorted by position:
- 26.64°, I = 1
- 30.86°, I = 100
- 44.20°, I = 72
- 54.87°, I = 25
- 64.21°, I = 4
- 64.33°, I = 8
- 72.98°, I = 21
- 73.05°, I = 11
- 81.33°, I = 23

=====

Calculated XRD peak list
Compound: YAsSe
Radiation: copper Kα
Structure: DFT lattice parameters and positions (GGA-PBE)

Structure:
a b c (Å): 17.658 3.913 3.940
angles (deg): 90.00 90.00 90.00
Atoms (fractional coordinates):
Y  0.139  0.250  0.241
Y  0.361  0.750  0.741
Y  0.639  0.250  0.259
Y  0.861  0.750  0.759
As  0.001  0.250  0.716
As  0.499  0.750  0.216
As  0.501  0.250  0.784
As  0.999  0.750  0.284
Se  0.188  0.750  0.743
Se  0.312  0.250  0.243
Se  0.688  0.750  0.757
Se  0.812  0.250  0.257

Most intense lines, 2θ from 15° to 90°, sorted by position:
- 30.38°, I = 50
- 32.24°, I = 21
- 33.84°, I = 91
- 38.17°, I = 28
- 38.29°, I = 100
- 46.07°, I = 25
- 46.41°, I = 26
- 56.20°, I = 16
- 56.48°, I = 17
- 61.60°, I = 13
- 67.47°, I = 15
- 68.04°, I = 13

=====

Calculated XRD peak list
Compound: Zr2As3Se
Radiation: copper Kα
Structure: DFT lattice parameters and positions (GGA-PBE)

Structure:
a b c (Å): 3.830 3.830 8.143
angles (deg): 90.00 90.00 90.00
Atoms (fractional coordinates):
Zr  0.000  0.000  0.000
Zr  0.500  0.500  0.472
As  0.000  0.500  0.735
As  0.500  0.000  0.735
As  0.500  0.500  0.112
Se  0.000  0.000  0.357

Most intense lines, 2θ from 15° to 90°, sorted by position:
- 25.71°, I = 17
- 32.09°, I = 24
- 33.03°, I = 60
- 34.92°, I = 100
- 39.99°, I = 94
- 40.74°, I = 70
- 47.48°, I = 63
- 59.04°, I = 25
- 64.32°, I = 35
- 69.42°, I = 20
- 80.12°, I = 18
- 83.24°, I = 21

=====

Calculated XRD peak list
Compound: Si3As
Radiation: copper Kα
Structure: DFT lattice parameters and positions (GGA-PBE)

Structure:
a b c (Å): 5.445 5.445 5.034
angles (deg): 90.00 90.00 120.00
Atoms (fractional coordinates):
Si  0.162  0.323  0.250
Si  0.162  0.838  0.250
Si  0.323  0.162  0.750
Si  0.677  0.838  0.250
Si  0.838  0.162  0.750
Si  0.838  0.677  0.750
As  0.333  0.667  0.750
As  0.667  0.333  0.250

Most intense lines, 2θ from 15° to 90°, sorted by position:
- 18.82°, I = 9
- 25.89°, I = 36
- 32.90°, I = 12
- 35.67°, I = 37
- 38.17°, I = 23
- 42.33°, I = 100
- 49.30°, I = 8
- 53.23°, I = 17
- 68.65°, I = 23
- 68.99°, I = 15
- 80.15°, I = 20
- 84.38°, I = 13

=====

Calculated XRD peak list
Compound: SiAs
Radiation: copper Kα
Structure: DFT lattice parameters and positions (GGA-PBE)

Structure:
a b c (Å): 9.057 9.057 10.228
angles (deg): 111.85 111.85 23.55
Atoms (fractional coordinates):
Si  0.065  0.065  0.092
Si  0.269  0.269  0.701
Si  0.363  0.363  0.590
Si  0.637  0.637  0.410
Si  0.731  0.731  0.299
Si  0.935  0.935  0.908
As  0.045  0.045  0.314
As  0.324  0.324  0.338
As  0.358  0.358  0.946
As  0.642  0.642  0.054
As  0.676  0.676  0.662
As  0.955  0.955  0.686

Most intense lines, 2θ from 15° to 90°, sorted by position:
- 22.67°, I = 63
- 26.78°, I = 30
- 28.30°, I = 43
- 29.16°, I = 100
- 29.88°, I = 30
- 36.28°, I = 14
- 43.55°, I = 28
- 45.47°, I = 25
- 49.31°, I = 20
- 49.68°, I = 13
- 50.03°, I = 18
- 52.72°, I = 16

=====

Calculated XRD peak list
Compound: Si3As
Radiation: copper Kα
Structure: DFT lattice parameters and positions (GGA-PBE)

Structure:
a b c (Å): 6.377 6.377 6.377
angles (deg): 90.00 90.00 90.00
Atoms (fractional coordinates):
Si  0.000  0.000  0.000
Si  0.000  0.500  0.500
Si  0.250  0.250  0.250
Si  0.250  0.250  0.750
Si  0.250  0.750  0.250
Si  0.250  0.750  0.750
Si  0.500  0.000  0.500
Si  0.500  0.500  0.000
Si  0.750  0.250  0.250
Si  0.750  0.250  0.750
Si  0.750  0.750  0.250
Si  0.750  0.750  0.750
As  0.000  0.000  0.500
As  0.000  0.500  0.000
As  0.500  0.000  0.000
As  0.500  0.500  0.500

Most intense lines, 2θ from 15° to 90°, sorted by position:
- 24.17°, I = 22
- 27.98°, I = 12
- 39.99°, I = 100
- 47.27°, I = 11
- 49.51°, I = 3
- 57.83°, I = 16
- 63.59°, I = 5
- 65.45°, I = 4
- 72.63°, I = 34
- 77.82°, I = 3
- 86.28°, I = 11

=====

Calculated XRD peak list
Compound: Si3As4
Radiation: copper Kα
Structure: DFT lattice parameters and positions (GGA-PBE)

Structure:
a b c (Å): 5.370 5.370 5.370
angles (deg): 90.00 90.00 90.00
Atoms (fractional coordinates):
Si  0.000  0.000  0.500
Si  0.000  0.500  0.000
Si  0.500  0.000  0.000
As  0.279  0.279  0.721
As  0.279  0.721  0.279
As  0.721  0.279  0.279
As  0.721  0.721  0.721

Most intense lines, 2θ from 15° to 90°, sorted by position:
- 28.80°, I = 100
- 33.37°, I = 22
- 37.45°, I = 10
- 41.18°, I = 15
- 47.92°, I = 48
- 51.03°, I = 7
- 56.87°, I = 33
- 70.10°, I = 6
- 72.59°, I = 6
- 75.05°, I = 8
- 77.48°, I = 11
- 89.39°, I = 11

=====

Calculated XRD peak list
Compound: Sr3Si2As4
Radiation: copper Kα
Structure: DFT lattice parameters and positions (GGA-PBE)

Structure:
a b c (Å): 9.689 9.689 7.456
angles (deg): 104.94 104.94 122.66
Atoms (fractional coordinates):
Sr  0.059  0.941  0.750
Sr  0.186  0.814  0.250
Sr  0.435  0.565  0.250
Sr  0.565  0.435  0.750
Sr  0.814  0.186  0.750
Sr  0.941  0.059  0.250
Si  0.170  0.528  0.656
Si  0.472  0.830  0.844
Si  0.528  0.170  0.156
Si  0.830  0.472  0.344
As  0.050  0.444  0.282
As  0.189  0.322  0.748
As  0.322  0.189  0.248
As  0.444  0.050  0.782
As  0.556  0.950  0.218
As  0.678  0.811  0.752
As  0.811  0.678  0.252
As  0.950  0.556  0.718

Most intense lines, 2θ from 15° to 90°, sorted by position:
- 28.39°, I = 51
- 28.52°, I = 100
- 38.95°, I = 16
- 39.20°, I = 34
- 42.12°, I = 35
- 42.54°, I = 18
- 46.32°, I = 11
- 51.37°, I = 8
- 51.93°, I = 18
- 59.04°, I = 10
- 64.48°, I = 9
- 68.67°, I = 18

=====

Calculated XRD peak list
Compound: Ta2SiAs2
Radiation: copper Kα
Structure: DFT lattice parameters and positions (GGA-PBE)

Structure:
a b c (Å): 2.723 2.723 13.421
angles (deg): 90.00 90.00 90.00
Atoms (fractional coordinates):
Ta  0.000  0.000  0.189
Ta  0.000  0.000  0.811
Si  0.000  0.000  0.000
As  0.000  0.000  0.394
As  0.000  0.000  0.606

Most intense lines, 2θ from 15° to 90°, sorted by position:
- 19.85°, I = 31
- 32.89°, I = 100
- 33.38°, I = 44
- 35.57°, I = 21
- 38.71°, I = 24
- 47.20°, I = 36
- 47.56°, I = 65
- 59.03°, I = 34
- 68.96°, I = 12
- 78.54°, I = 16
- 78.81°, I = 15
- 88.06°, I = 23

=====

Calculated XRD peak list
Compound: Zr2SiTe2As
Radiation: copper Kα
Structure: DFT lattice parameters and positions (GGA-PBE)

Structure:
a b c (Å): 3.753 3.753 10.277
angles (deg): 90.00 90.00 90.00
Atoms (fractional coordinates):
Zr  0.000  0.500  0.204
Zr  0.500  0.000  0.796
Si  0.500  0.500  0.000
Te  0.000  0.500  0.660
Te  0.500  0.000  0.340
As  0.000  0.000  0.000

Most intense lines, 2θ from 15° to 90°, sorted by position:
- 17.26°, I = 21
- 26.01°, I = 14
- 29.47°, I = 100
- 33.78°, I = 34
- 34.92°, I = 20
- 38.17°, I = 62
- 42.65°, I = 45
- 48.52°, I = 33
- 57.80°, I = 29
- 66.55°, I = 23
- 73.76°, I = 14
- 83.63°, I = 19